This entry pairs a crystal structure of Co3ClF5 with its computed powder diffraction line list. Radiation: copper Kα. Structure: a cell relaxed with GGA+U.
Lines closer than 0.1° are merged.

The 6 most intense peaks (5 to 70 degrees two-theta), low angle first:
| Position (°2θ) | d_spacing | intensity |
| --- | --- | --- |
| 24.54 | 3.628 | 77.5 |
| 26.51 | 3.362 | 100.0 |
| 32.11 | 2.788 | 94.6 |
| 48.21 | 1.888 | 56.8 |
| 50.45 | 1.809 | 56.4 |
| 62.86 | 1.478 | 40.6 |

Structural model:
```
18
Lattice="3.362 -10.884 0.000 3.362 10.884 0.000 0.000 0.000 3.379" Properties=species:S:1:pos:R:3 pbc="T T T"
Co 0.000 0.000 0.000
Co 3.362 7.325 1.690
Co 3.362 4.030 0.000
Co 3.362 0.000 1.690
Co 3.362 -4.030 0.000
Co 3.362 -7.325 1.690
Cl 3.362 2.356 1.690
Cl 3.362 -2.356 1.690
F 1.283 3.763 0.000
F 3.362 9.414 1.690
F 3.362 5.255 1.690
F 2.020 0.000 0.000
F 1.283 -3.763 0.000
F 5.441 3.763 0.000
F 4.705 0.000 0.000
F 3.362 -5.255 1.690
F 3.362 -9.414 1.690
F 5.441 -3.763 0.000
```